Structure and theoretical powder XRD pattern of Na2TlGeO4 (a PBE-relaxed structure; copper Kα).
Lines closer than 0.1° are merged.

Cell and atoms:
```
data_Na2TlGeO4
_chemical_formula_sum 'Na2 Tl1 Ge1 O4'
_symmetry_space_group_name_H-M 'P 1'
_symmetry_Int_Tables_number 1
_symmetry_space_group_name_Hall 'P 1'
_cell_length_a 6.0240
_cell_length_b 6.0240
_cell_length_c 6.0240
_cell_angle_alpha 128.61
_cell_angle_beta 128.61
_cell_angle_gamma 75.64
loop_
_atom_site_label
_atom_site_fract_x
_atom_site_fract_y
_atom_site_fract_z
_atom_site_occupancy
Na1 0.0000 0.0000 0.0000 1
Na2 0.7500 0.2500 0.5000 1
Tl1 0.5000 0.5000 0.0000 1
Ge1 0.2500 0.7500 0.5000 1
O1 0.1482 0.0526 0.4914 1
O2 0.3432 0.8518 0.9045 1
O3 0.5613 0.6568 0.5086 1
O4 0.9474 0.4387 0.0955 1
```

Largest 6 diffraction maxima, low angle first, 10° ≤ 2θ ≤ 90°:
2θ 19.38, d = 4.579 Å, intensity 95; 2θ 30.64, d = 2.918 Å, intensity 100; 2θ 33.04, d = 2.712 Å, intensity 25; 2θ 39.73, d = 2.269 Å, intensity 30; 2θ 51.99, d = 1.759 Å, intensity 28; 2θ 59.21, d = 1.561 Å, intensity 29